Starting from a structure optimized by DFT (GGA+U), the powder X-ray diffraction pattern of Cs2NiF was computed for Cu Kα.
Kinematic intensities with the Lorentz-polarization factor, no thermal factor.

The 10 most intense peaks (2θ from 10° to 90°), sorted by position:
22.93°, I = 100
25.40°, I = 55
30.31°, I = 21
33.38°, I = 17
35.55°, I = 14
38.35°, I = 19
39.94°, I = 17
41.22°, I = 28
47.39°, I = 18
55.82°, I = 20

```
data_Cs2NiF
_chemical_formula_sum 'Cs8 Ni4 F4'
_symmetry_space_group_name_H-M 'I -4 2 d'
_symmetry_Int_Tables_number 122
_symmetry_space_group_name_Hall 'I -4 2bw'
_cell_length_a 8.3408
_cell_length_b 8.3408
_cell_length_c 10.2947
_cell_angle_alpha 90.00
_cell_angle_beta 90.00
_cell_angle_gamma 90.00
loop_
_atom_site_label
_atom_site_fract_x
_atom_site_fract_y
_atom_site_fract_z
Cs1 0.1697 0.2500 0.1250
Ni1 0.0000 0.0000 0.5000
F1 0.0000 0.0000 0.0000
```